Theoretical powder XRD pattern of KB2MoF8 for copper Kα, from DFT lattice parameters and positions (PBE+U).
No peak broadening, texture or thermal motion is included.

Structural model:
abc: 7.947 7.947 7.947
angles: 38.61 38.61 38.61
Sites, in units of the cell vectors:
1 K 0.000 0.000 0.000
2 B 0.255 0.255 0.255
3 B 0.745 0.745 0.745
4 Mo 0.500 0.500 0.500
5 F 0.000 0.493 0.805
6 F 0.000 0.507 0.195
7 F 0.195 0.000 0.507
8 F 0.319 0.319 0.319
9 F 0.493 0.805 0.000
10 F 0.507 0.195 0.000
11 F 0.681 0.681 0.681
12 F 0.805 0.000 0.493

Principal peaks in the range 10 to 80 degrees two-theta, by angle:
2θ = 12.0°, I = 14
2θ = 19.9°, I = 19
2θ = 25.4°, I = 100
2θ = 28.2°, I = 16
2θ = 34.1°, I = 32
2θ = 38.2°, I = 22
2θ = 40.5°, I = 18
2θ = 42.3°, I = 55